For Rb3U2S5Cl2, a PBE-relaxed structure gives the calculated powder X-ray diffraction pattern in this record (Cu Kα (weighted mean of Kα1 and Kα2)).
Intensities are scaled so that the largest is 100.

Most intense lines, 10° ≤ 2θ ≤ 90°, low angle first:
Position (°2θ), I/Imax
12.9, 31.9
17.2, 47.6
23.5, 100.0
24.0, 69.1
28.4, 19.3
32.7, 22.7
34.2, 54.4
40.9, 22.8
41.9, 46.2
48.0, 30.0

Cell and atoms:
```
Rb3U2S5Cl2
1.0
-2.6230 2.6230 13.7015
2.6230 -2.6230 13.7015
2.6230 2.6230 -13.7015
Rb U S Cl
3 2 5 2
direct
0.0000 0.0000 0.0000
0.1814 0.1814 0.0000
0.8186 0.8186 0.0000
0.4052 0.4052 0.0000
0.5948 0.5948 0.0000
0.0973 0.5973 0.5000
0.4027 0.9027 0.5000
0.5000 0.5000 0.0000
0.5973 0.0973 0.5000
0.9027 0.4027 0.5000
0.3041 0.3041 0.0000
0.6959 0.6959 0.0000
```

For Li2PrSb2Au2, a PBE-relaxed structure gives the calculated powder X-ray diffraction pattern in this record (Cu Kα (weighted mean of Kα1 and Kα2)).
Intensities are scaled so that the largest is 100.

Most intense lines, 10° ≤ 2θ ≤ 90°, low angle first:
Position (°2θ), I/Imax
21.2, 23.8
22.7, 35.4
23.6, 22.4
26.6, 79.1
33.7, 79.9
39.4, 100.0
42.5, 23.4
45.8, 30.5
51.6, 25.9
52.8, 22.4

Cell and atoms:
```
Li2PrSb2Au2
1.0
2.2854 1.3195 8.3974
-2.2854 1.3195 8.3974
0.0000 -2.6390 8.3974
Li Pr Sb Au
2 1 2 2
direct
0.1438 0.1438 0.1438
0.8562 0.8562 0.8562
0.0000 0.0000 0.0000
0.2590 0.2590 0.2590
0.7410 0.7410 0.7410
0.4424 0.4424 0.4424
0.5576 0.5576 0.5576
```

For Pm8Nd6Cd, a PBE-relaxed structure gives the calculated powder X-ray diffraction pattern in this record (Cu Kα (weighted mean of Kα1 and Kα2)).
Intensities are scaled so that the largest is 100.

Most intense lines, 10° ≤ 2θ ≤ 90°, low angle first:
Position (°2θ), I/Imax
25.5, 14.2
27.3, 12.6
28.5, 22.9
29.4, 13.5
31.7, 100.0
33.2, 23.6
39.9, 11.4
50.5, 18.2
58.4, 13.6
60.8, 12.2

Cell and atoms:
```
Pm8Nd6Cd
1.0
9.5690 0.0000 0.0000
-4.7845 8.2870 0.0000
0.0000 0.0000 6.5227
Pm Nd Cd
8 6 1
direct
0.0409 0.7755 0.1864
0.2245 0.2653 0.1864
0.2653 0.0409 0.8136
0.3333 0.6667 0.1544
0.6667 0.3333 0.8456
0.7347 0.9591 0.1864
0.7755 0.7347 0.8136
0.9591 0.2245 0.8136
0.0926 0.6421 0.6779
0.3579 0.4505 0.6779
0.4505 0.0926 0.3221
0.5495 0.9074 0.6779
0.6421 0.5495 0.3221
0.9074 0.3579 0.3221
0.0000 0.0000 0.5000
```

What did the first record say?
For Rb3U2S5Cl2, a PBE-relaxed structure gives the calculated powder X-ray diffraction pattern in this record (Cu Kα (weighted mean of Kα1 and Kα2)).
Intensities are scaled so that the largest is 100.

Most intense lines, 10° ≤ 2θ ≤ 90°, low angle first:
Position (°2θ), I/Imax
12.9, 31.9
17.2, 47.6
23.5, 100.0
24.0, 69.1
28.4, 19.3
32.7, 22.7
34.2, 54.4
40.9, 22.8
41.9, 46.2
48.0, 30.0

Cell and atoms:
```
Rb3U2S5Cl2
1.0
-2.6230 2.6230 13.7015
2.6230 -2.6230 13.7015
2.6230 2.6230 -13.7015
Rb U S Cl
3 2 5 2
direct
0.0000 0.0000 0.0000
0.1814 0.1814 0.0000
0.8186 0.8186 0.0000
0.4052 0.4052 0.0000
0.5948 0.5948 0.0000
0.0973 0.5973 0.5000
0.4027 0.9027 0.5000
0.5000 0.5000 0.0000
0.5973 0.0973 0.5000
0.9027 0.4027 0.5000
0.3041 0.3041 0.0000
0.6959 0.6959 0.0000
```